Starting from a PBE-relaxed structure, the XRD peak list of Hf4Co2Ni was simulated for Cu Kα X-rays.
Peak positions follow from Bragg's law for the DFT cell and can differ from measured ones.

Crystal structure
a = 12.810 Å, b = 3.395 Å, c = 6.315 Å
α = 90.00°, β = 114.70°, γ = 90.00°
Space group C2/m (No. 12)
Asymmetric unit:
Hf: 0.108 0.000 0.233 x4
Hf: 0.137 0.500 0.833 x4
Co: 0.235 0.000 0.677 x4
Ni: 0.000 0.000 0.500 x2

Peak list (10 most intense, 10° ≤ 2θ ≤ 80°, by angle)
Position (°2θ)  I_rel  (hkl)
30.73  33.7  4 0 0
31.18  41.3  0 0 2
33.16  60.7  1 1 1
33.47  38.5  4 0 -2
34.27  100.0  3 1 -1
40.18  26.3  4 0 1
42.51  31.2  3 1 1
44.30  30.7  5 1 -1
44.46  30.8  1 1 2
51.19  32.9  3 1 -3